Entry 1:
Structure and calculated powder diffractogram of Na2SrSbBr8 (DFT lattice parameters and positions (GGA-PBE); Cu Ka).
Intensities are scaled so that the largest is 100.

Cell and atoms:
```
data_Na2SrSbBr8
_space_group_name_H-M_alt 'P 1 2/m 1'
_space_group_IT_number 10
_space_group_name_Hall '-P 2y'
_cell_length_a 6.952
_cell_length_b 8.941
_cell_length_c 6.970
_cell_angle_alpha 90.00
_cell_angle_beta 94.99
_cell_angle_gamma 90.00
loop_
_atom_site_label
_atom_site_type_symbol
_atom_site_fract_x
_atom_site_fract_y
_atom_site_fract_z
Na1 Na 0.000 0.242 0.000
Sr1 Sr 0.500 0.000 0.500
Sb1 Sb 0.500 0.500 0.500
Br1 Br 0.140 0.000 0.242
Br2 Br 0.175 0.500 0.250
Br3 Br 0.348 0.281 0.716
```

Main lines, by angle (10° ≤ 2θ ≤ 90°):
| h k l | 2theta | I/Imax |
| --- | --- | --- |
| 0 0 1 | 12.8 | 51 |
| 1 0 -1 | 17.3 | 33 |
| 1 2 -1 | 26.4 | 100 |
| 1 2 1 | 27.5 | 34 |
| 2 0 1 | 29.8 | 55 |
| 1 2 -2 | 34.3 | 65 |
| 1 2 2 | 36.1 | 36 |
| 3 2 0 | 44.1 | 56 |

---

Entry 2:
Structure and calculated powder diffractogram of NaTlSbBr6 (DFT lattice parameters and positions (GGA-PBE); Cu Ka).
Intensities are scaled so that the largest is 100.

Cell and atoms:
```
data_NaTlSbBr6
_space_group_name_H-M_alt 'P 3 1 2'
_space_group_IT_number 149
_space_group_name_Hall 'P 3 2'
_cell_length_a 7.4322
_cell_length_b 7.4322
_cell_length_c 7.0040
_cell_angle_alpha 90.00
_cell_angle_beta 90.00
_cell_angle_gamma 120.00
loop_
_atom_site_label
_atom_site_type_symbol
_atom_site_fract_x
_atom_site_fract_y
_atom_site_fract_z
Na1 Na 0.0000 0.0000 0.0000
Tl1 Tl 0.6667 0.3333 0.5000
Sb1 Sb 0.3333 0.6667 0.0000
Br1 Br 0.0399 0.3618 0.2263
```

Main lines, by angle (10° ≤ 2θ ≤ 90°):
| h k l | 2theta | I/Imax |
| --- | --- | --- |
| 1 0 0 | 13.8 | 27 |
| 1 0 1 | 18.7 | 100 |
| 1 1 1 | 27.2 | 82 |
| 2 0 1 | 30.6 | 25 |
| 2 -1 2 | 35.2 | 81 |
| 3 -1 1 | 39.2 | 37 |
| 3 0 0 | 42.1 | 43 |
| 2 2 2 | 56.0 | 19 |

---

Entry 3:
Structure and calculated powder diffractogram of Na6ScBr8 (DFT lattice parameters and positions (GGA-PBE); Cu Ka).
Intensities are scaled so that the largest is 100.

Cell and atoms:
```
data_Na6ScBr8
_space_group_name_H-M_alt 'F m -3 m'
_space_group_IT_number 225
_space_group_name_Hall '-F 4 2 3'
_cell_length_a 12.037
_cell_length_b 12.037
_cell_length_c 12.037
_cell_angle_alpha 90.00
_cell_angle_beta 90.00
_cell_angle_gamma 90.00
loop_
_atom_site_label
_atom_site_type_symbol
_atom_site_fract_x
_atom_site_fract_y
_atom_site_fract_z
Na1 Na 0.000 0.250 0.250
Sc1 Sc 0.000 0.000 0.000
Br1 Br 0.000 0.000 0.232
Br2 Br 0.250 0.250 0.250
```

Main lines, by angle (10° ≤ 2θ ≤ 90°):
| h k l | 2theta | I/Imax |
| --- | --- | --- |
| 1 1 1 | 12.7 | 15 |
| 2 2 2 | 25.6 | 57 |
| 4 0 0 | 29.7 | 100 |
| 4 4 0 | 42.5 | 70 |
| 6 2 2 | 50.3 | 23 |
| 4 4 4 | 52.7 | 23 |
| 8 4 0 | 69.9 | 27 |
| 8 4 4 | 77.7 | 19 |

---

Entry 4:
Structure and calculated powder diffractogram of NaSc3Br8 (DFT lattice parameters and positions (GGA-PBE); Cu Ka).
Intensities are scaled so that the largest is 100.

Cell and atoms:
```
data_NaSc3Br8
_space_group_name_H-M_alt 'P 63 m c'
_space_group_IT_number 186
_space_group_name_Hall 'P 6c -2c'
_cell_length_a 7.7680
_cell_length_b 7.7680
_cell_length_c 14.0593
_cell_angle_alpha 90.00
_cell_angle_beta 90.00
_cell_angle_gamma 120.00
loop_
_atom_site_label
_atom_site_type_symbol
_atom_site_fract_x
_atom_site_fract_y
_atom_site_fract_z
Na1 Na 0.3333 0.6667 0.0000
Sc1 Sc 0.1687 0.3375 0.7446
Br1 Br 0.0000 0.0000 0.3580
Br2 Br 0.0050 0.5025 0.8568
Br3 Br 0.1617 0.3234 0.1337
Br4 Br 0.3333 0.6667 0.6272
```

Main lines, by angle (10° ≤ 2θ ≤ 90°):
| h k l | 2theta | I/Imax |
| --- | --- | --- |
| 0 0 2 | 12.6 | 26 |
| 0 0 4 | 25.3 | 22 |
| 2 0 1 | 27.3 | 18 |
| 2 0 2 | 29.4 | 100 |
| 2 0 3 | 32.8 | 43 |
| 2 0 5 | 41.9 | 25 |
| 2 2 0 | 46.8 | 37 |
| 2 0 6 | 47.3 | 23 |

---

Entry 5:
Structure and calculated powder diffractogram of NaScSnBr6 (DFT lattice parameters and positions (GGA-PBE); Cu Ka).
Intensities are scaled so that the largest is 100.

Cell and atoms:
```
data_NaScSnBr6
_space_group_name_H-M_alt 'P -3 1 c'
_space_group_IT_number 163
_space_group_name_Hall '-P 3 2c'
_cell_length_a 7.2235
_cell_length_b 7.2235
_cell_length_c 12.7808
_cell_angle_alpha 90.00
_cell_angle_beta 90.00
_cell_angle_gamma 120.00
loop_
_atom_site_label
_atom_site_type_symbol
_atom_site_fract_x
_atom_site_fract_y
_atom_site_fract_z
Na1 Na 0.3333 0.6667 0.2500
Sc1 Sc 0.3333 0.6667 0.7500
Sn1 Sn 0.0000 0.0000 0.0000
Br1 Br 0.0300 0.3648 0.6289
```

Main lines, by angle (10° ≤ 2θ ≤ 90°):
| h k l | 2theta | I/Imax |
| --- | --- | --- |
| 1 0 2 | 19.9 | 34 |
| 2 -1 2 | 28.4 | 100 |
| 1 1 4 | 37.6 | 49 |
| 2 1 2 | 40.7 | 13 |
| 3 0 0 | 43.4 | 35 |
| 1 1 6 | 49.7 | 20 |
| 2 2 2 | 52.7 | 15 |
| 3 0 8 | 74.9 | 13 |

---

Entry 6:
Structure and calculated powder diffractogram of NaScSn2Br8 (DFT lattice parameters and positions (GGA-PBE); Cu Ka).
Intensities are scaled so that the largest is 100.

Cell and atoms:
```
data_NaScSn2Br8
_space_group_name_H-M_alt 'P 1 2/m 1'
_space_group_IT_number 10
_space_group_name_Hall '-P 2y'
_cell_length_a 6.695
_cell_length_b 8.564
_cell_length_c 7.065
_cell_angle_alpha 90.00
_cell_angle_beta 91.55
_cell_angle_gamma 90.00
loop_
_atom_site_label
_atom_site_type_symbol
_atom_site_fract_x
_atom_site_fract_y
_atom_site_fract_z
Na1 Na 0.000 0.000 0.000
Sc1 Sc 0.000 0.500 0.000
Sn1 Sn 0.500 0.253 0.500
Br1 Br 0.222 0.500 0.690
Br2 Br 0.230 0.272 0.149
Br3 Br 0.271 0.000 0.654
```

Main lines, by angle (10° ≤ 2θ ≤ 90°):
| h k l | 2theta | I/Imax |
| --- | --- | --- |
| 1 0 -1 | 18.0 | 26 |
| 1 0 1 | 18.5 | 32 |
| 1 2 -1 | 27.6 | 100 |
| 1 0 2 | 28.9 | 50 |
| 2 2 -1 | 36.1 | 29 |
| 2 2 1 | 36.6 | 46 |
| 0 4 0 | 42.2 | 27 |
| 0 2 3 | 43.9 | 46 |

---

Entry 7:
Structure and calculated powder diffractogram of NaSnSeBr (DFT lattice parameters and positions (GGA-PBE); Cu Ka).
Intensities are scaled so that the largest is 100.

Cell and atoms:
```
data_NaSnSeBr
_space_group_name_H-M_alt 'R 3 m'
_space_group_IT_number 160
_space_group_name_Hall 'R 3 -2"'
_cell_length_a 4.2337
_cell_length_b 4.2337
_cell_length_c 26.1412
_cell_angle_alpha 90.00
_cell_angle_beta 90.00
_cell_angle_gamma 120.00
loop_
_atom_site_label
_atom_site_type_symbol
_atom_site_fract_x
_atom_site_fract_y
_atom_site_fract_z
Na1 Na 0.0000 0.0000 0.0000
Sn1 Sn 0.0000 0.0000 0.5135
Se1 Se 0.0000 0.0000 0.2369
Br1 Br 0.0000 0.0000 0.3864
```

Main lines, by angle (10° ≤ 2θ ≤ 90°):
| h k l | 2theta | I/Imax |
| --- | --- | --- |
| 0 0 3 | 10.2 | 36 |
| 0 0 6 | 20.4 | 41 |
| 1 0 1 | 24.5 | 100 |
| 1 0 4 | 27.9 | 35 |
| 1 0 7 | 34.3 | 72 |
| 0 1 8 | 36.8 | 62 |
| 1 1 0 | 42.7 | 56 |
| 1 1 6 | 47.8 | 26 |

---

Entry 8:
Structure and calculated powder diffractogram of NaTcSeBr2 (DFT lattice parameters and positions (GGA-PBE); Cu Ka).
Intensities are scaled so that the largest is 100.

Cell and atoms:
```
data_NaTcSeBr2
_space_group_name_H-M_alt 'P 4/m m m'
_space_group_IT_number 123
_space_group_name_Hall '-P 4 2'
_cell_length_a 5.383
_cell_length_b 5.383
_cell_length_c 4.709
_cell_angle_alpha 90.00
_cell_angle_beta 90.00
_cell_angle_gamma 90.00
loop_
_atom_site_label
_atom_site_type_symbol
_atom_site_fract_x
_atom_site_fract_y
_atom_site_fract_z
Na1 Na 0.000 0.000 0.000
Tc1 Tc 0.500 0.500 0.500
Se1 Se 0.500 0.500 0.000
Br1 Br 0.000 0.500 0.500
```

Main lines, by angle (10° ≤ 2θ ≤ 90°):
| h k l | 2theta | I/Imax |
| --- | --- | --- |
| 1 0 0 | 16.5 | 100 |
| 0 0 1 | 18.8 | 39 |
| 1 1 1 | 30.2 | 52 |
| 2 0 0 | 33.3 | 97 |
| 0 0 2 | 38.2 | 33 |
| 2 2 0 | 47.8 | 34 |
| 2 0 2 | 51.6 | 54 |
| 2 2 2 | 62.8 | 30 |

---

Entry 9:
Structure and calculated powder diffractogram of NaZrSe2Br (DFT lattice parameters and positions (GGA-PBE); Cu Ka).
Intensities are scaled so that the largest is 100.

Cell and atoms:
```
data_NaZrSe2Br
_space_group_name_H-M_alt 'P 4/m m m'
_space_group_IT_number 123
_space_group_name_Hall '-P 4 2'
_cell_length_a 5.247
_cell_length_b 5.247
_cell_length_c 5.458
_cell_angle_alpha 90.00
_cell_angle_beta 90.00
_cell_angle_gamma 90.00
loop_
_atom_site_label
_atom_site_type_symbol
_atom_site_fract_x
_atom_site_fract_y
_atom_site_fract_z
Na1 Na 0.000 0.000 0.000
Zr1 Zr 0.500 0.500 0.500
Se1 Se 0.000 0.500 0.500
Br1 Br 0.500 0.500 0.000
```

Main lines, by angle (10° ≤ 2θ ≤ 90°):
| h k l | 2theta | I/Imax |
| --- | --- | --- |
| 0 0 1 | 16.2 | 51 |
| 1 0 0 | 16.9 | 100 |
| 1 1 1 | 29.1 | 69 |
| 0 0 2 | 32.8 | 54 |
| 2 0 0 | 34.2 | 96 |
| 2 0 2 | 48.1 | 71 |
| 2 2 0 | 49.1 | 34 |
| 2 2 2 | 60.3 | 36 |

---

Entry 10:
Structure and calculated powder diffractogram of NaSi2Br (DFT lattice parameters and positions (GGA-PBE); Cu Ka).
Intensities are scaled so that the largest is 100.

Cell and atoms:
```
data_NaSi2Br
_space_group_name_H-M_alt 'I -4 2 d'
_space_group_IT_number 122
_space_group_name_Hall 'I -4 2bw'
_cell_length_a 8.817
_cell_length_b 8.817
_cell_length_c 5.151
_cell_angle_alpha 90.00
_cell_angle_beta 90.00
_cell_angle_gamma 90.00
loop_
_atom_site_label
_atom_site_type_symbol
_atom_site_fract_x
_atom_site_fract_y
_atom_site_fract_z
Na1 Na 0.000 0.000 0.000
Si1 Si 0.230 0.250 0.625
Br1 Br 0.000 0.000 0.500
```

Main lines, by angle (10° ≤ 2θ ≤ 90°):
| h k l | 2theta | I/Imax |
| --- | --- | --- |
| 1 0 1 | 20.0 | 37 |
| 2 0 0 | 20.1 | 20 |
| 2 1 1 | 28.5 | 22 |
| 2 2 0 | 28.6 | 100 |
| 1 1 2 | 37.8 | 51 |
| 4 0 0 | 40.9 | 50 |
| 3 1 2 | 48.1 | 49 |
| 5 1 2 | 65.0 | 19 |